Entry 1:
Calculated powder diffraction line list
Compound: Nd2SmDy2Th2
Radiation: Cu Kα
Structure: DFT lattice parameters and positions (GGA-PBE)
No peak broadening, texture or thermal motion is included.

Peak list (12 most intense, 2θ = 10–90°, low angle first)
29.6°, intensity 63; 29.8°, intensity 62; 32.2°, intensity 100; 32.3°, intensity 99; 42.5°, intensity 48; 49.7°, intensity 14; 54.1°, intensity 23; 54.4°, intensity 23; 54.5°, intensity 46; 59.1°, intensity 18; 67.3°, intensity 11; 87.0°, intensity 13

Structural model:
```
data_Nd2SmDy2Th2
_chemical_formula_sum 'Nd4 Sm2 Dy4 Th4'
_cell_length_a 12.631
_cell_length_b 5.994
_cell_length_c 6.256
_cell_angle_alpha 90.00
_cell_angle_beta 101.59
_cell_angle_gamma 90.00
_space_group_name_H-M_alt 'C 1 2/m 1'
_space_group_IT_number 12
loop_
_space_group_symop_operation_xyz
'x,y,z'
'-x,-y,-z'
'-x,y,-z'
'x,-y,z'
'x+1/2,y+1/2,z'
'-x+1/2,-y+1/2,-z'
'-x+1/2,y+1/2,-z'
'x+1/2,-y+1/2,z'
loop_
_atom_site_label
_atom_site_fract_x
_atom_site_fract_y
_atom_site_fract_z
_atom_site_occupancy
Nd1 0.077 0.000 0.304 1
Sm1 0.000 0.500 0.000 1
Dy1 0.146 0.500 0.583 1
Th1 0.218 0.000 0.869 1
```

***

Entry 2:
Calculated powder diffraction line list
Compound: Nd2SmDy4Tm2
Radiation: Cu Kα
Structure: DFT lattice parameters and positions (GGA-PBE)
No peak broadening, texture or thermal motion is included.

Peak list (12 most intense, 2θ = 10–90°, low angle first)
23.6°, intensity 12; 29.7°, intensity 41; 31.4°, intensity 59; 31.8°, intensity 100; 32.3°, intensity 45; 32.3°, intensity 49; 33.8°, intensity 12; 43.0°, intensity 15; 44.7°, intensity 12; 48.0°, intensity 17; 56.9°, intensity 18; 58.5°, intensity 18

Structural model:
```
data_Nd2SmDy4Tm2
_chemical_formula_sum 'Nd2 Sm1 Dy4 Tm2'
_cell_length_a 6.012
_cell_length_b 6.622
_cell_length_c 8.601
_cell_angle_alpha 80.00
_cell_angle_beta 70.44
_cell_angle_gamma 64.95
_space_group_name_H-M_alt 'P -1'
_space_group_IT_number 2
loop_
_space_group_symop_operation_xyz
'x,y,z'
'-x,-y,-z'
loop_
_atom_site_label
_atom_site_fract_x
_atom_site_fract_y
_atom_site_fract_z
_atom_site_occupancy
Nd1 0.232 0.326 0.343 1
Sm1 0.500 0.000 0.000 1
Dy1 0.120 0.129 0.759 1
Dy2 0.237 0.579 0.884 1
Tm1 0.320 0.770 0.446 1
```

***

Entry 3:
Calculated powder diffraction line list
Compound: Nd6SmDy2Tm3
Radiation: Cu Kα
Structure: DFT lattice parameters and positions (GGA-PBE)
No peak broadening, texture or thermal motion is included.

Peak list (12 most intense, 2θ = 10–90°, low angle first)
30.3°, intensity 100; 30.7°, intensity 32; 35.3°, intensity 67; 50.5°, intensity 24; 51.0°, intensity 24; 60.0°, intensity 14; 60.3°, intensity 29; 60.7°, intensity 14; 63.1°, intensity 12; 82.2°, intensity 12; 84.9°, intensity 11; 85.7°, intensity 11

Structural model:
```
data_Nd6SmDy2Tm3
_chemical_formula_sum 'Nd12 Sm2 Dy4 Tm6'
_cell_length_a 6.263
_cell_length_b 10.848
_cell_length_c 11.829
_cell_angle_alpha 90.00
_cell_angle_beta 100.13
_cell_angle_gamma 90.00
_space_group_name_H-M_alt 'C 1 2/m 1'
_space_group_IT_number 12
loop_
_space_group_symop_operation_xyz
'x,y,z'
'-x,-y,-z'
'-x,y,-z'
'x,-y,z'
'x+1/2,y+1/2,z'
'-x+1/2,-y+1/2,-z'
'-x+1/2,y+1/2,-z'
'x+1/2,-y+1/2,z'
loop_
_atom_site_label
_atom_site_fract_x
_atom_site_fract_y
_atom_site_fract_z
_atom_site_occupancy
Nd1 0.249 0.000 0.248 1
Nd2 0.249 0.333 0.248 1
Sm1 0.000 0.000 0.500 1
Dy1 0.000 0.333 0.500 1
Tm1 0.000 0.167 0.000 1
Tm2 0.000 0.500 0.000 1
```